[1]
K2Sb4Pd3: simulated powder XRD pattern (Cu Kα, 1.54184 Å), based on the PBE geometry in Alexandria.
Peak positions follow from Bragg's law for the DFT cell and can differ from measured ones.

Lattice parameters (Å, degrees): 6.282 11.119 13.597 90.00 90.00 90.00
Space group Fmmm (No. 69)
Asymmetric unit:
K1 0.000 0.000 0.130
Sb1 0.000 0.168 0.355
Pd1 0.000 0.000 0.500
Pd2 0.250 0.250 0.000

Main lines, by intensity (2θ = 10–90°):
34.36°, rel. 100, (1 3 3); 17.48°, rel. 55, (1 1 1); 35.38°, rel. 36, (2 2 2); 39.05°, rel. 35, (2 0 4); 15.94°, rel. 33, (0 2 0); 42.42°, rel. 32, (2 2 4); 13.02°, rel. 28, (0 0 2); 54.23°, rel. 26, (3 3 3); 28.73°, rel. 25, (1 3 1); 28.42°, rel. 23, (2 0 0); 57.77°, rel. 22, (2 6 0); 39.78°, rel. 20, (0 0 6)

=====

[2]
LiNi2Ge3: simulated powder XRD pattern (Cu Kα, 1.54184 Å), based on the PBE geometry in Alexandria.
Peak positions follow from Bragg's law for the DFT cell and can differ from measured ones.

Lattice parameters (Å, degrees): 5.7331 5.7331 6.0576 90.00 90.00 120.00
Space group P-3m1 (No. 164)
Asymmetric unit:
Li1 0.3333 0.6667 0.3316
Ni1 0.0000 0.0000 0.0000
Ni2 0.0000 0.5000 0.0000
Ge1 0.1704 0.3407 0.7022

Main lines, by intensity (2θ = 10–90°):
39.22°, rel. 100, (2 0 1); 47.35°, rel. 57, (0 2 2); 23.16°, rel. 24, (0 1 1); 65.08°, rel. 22, (2 2 0); 44.89°, rel. 17, (0 0 3); 82.54°, rel. 16, (2 2 3); 78.69°, rel. 12, (0 4 1); 14.62°, rel. 12, (0 0 1); 73.21°, rel. 10, (2 0 4); 84.32°, rel. 10, (4 0 2); 58.96°, rel. 7, (0 2 3); 31.20°, rel. 7, (1 1 0)